Record 1
This entry pairs a crystal structure of Pr2UP3 with its theoretical XRD peak list. Radiation: CuKα. Structure: a DFT-relaxed cell (GGA-PBE, the Materials Project).
Peak positions follow from Bragg's law for the DFT cell and can differ from measured ones.

Largest 8 diffraction maxima, most intense first, 2θ from 5° to 70°:
h k l	d (Å)	2θ/deg	I/Imax
0 2 0	2.911	30.72	100.0
1 2 3	2.057	44.01	49.3
0 1 3	3.372	26.44	46.3
1 1 0	3.350	26.61	45.2
1 1 6	1.761	51.94	15.8
0 3 3	1.754	52.16	15.2
2 1 3	1.751	52.23	15.2
0 2 6	1.686	54.43	13.4

Cell and atoms:
```
data_Pr2UP3
_symmetry_space_group_name_H-M 'I m m m'
_symmetry_Int_Tables_number 71
_symmetry_space_group_name_Hall '-I 2 2'
_cell_length_a 4.0990
_cell_length_b 5.8141
_cell_length_c 12.4155
_cell_angle_alpha 90.00
_cell_angle_beta 90.00
_cell_angle_gamma 90.00
loop_
_atom_site_label
_atom_site_type_symbol
_atom_site_fract_x
_atom_site_fract_y
_atom_site_fract_z
Pr1 Pr 0.0000 0.0000 0.1683
U1 U 0.0000 0.0000 0.5000
P1 P 0.0000 0.5000 0.1540
P2 P 0.0000 0.5000 0.5000
```


Record 2
This entry pairs a crystal structure of Na2CaMg5Si8O22F2 with its theoretical XRD peak list. Radiation: CuKα. Structure: a DFT-relaxed cell (GGA-PBE, the Materials Project).
Peak positions follow from Bragg's law for the DFT cell and can differ from measured ones.

Largest 8 diffraction maxima, most intense first, 2θ from 5° to 70°:
h k l	d (Å)	2θ/deg	I/Imax
1 -1 2	2.745	32.62	100.0
-1 1 2	3.439	25.91	71.4
2 2 1	2.549	35.21	64.5
0 3 2	3.180	28.06	64.4
0 2 3	3.319	26.86	54.9
0 1 1	8.555	10.34	50.3
-1 2 2	3.002	29.76	44.7
-1 2 4	2.196	41.10	36.7

Cell and atoms:
```
data_Na2CaMg5Si8O22F2
_symmetry_space_group_name_H-M 'P 1'
_symmetry_Int_Tables_number 1
_symmetry_space_group_name_Hall 'P 1'
_cell_length_a 5.3298
_cell_length_b 9.9753
_cell_length_c 10.3861
_cell_angle_alpha 61.34
_cell_angle_beta 83.42
_cell_angle_gamma 76.23
loop_
_atom_site_label
_atom_site_type_symbol
_atom_site_fract_x
_atom_site_fract_y
_atom_site_fract_z
Na1 Na 0.0000 0.0000 0.0000
Na2 Na 0.4162 0.8198 0.4263
Ca1 Ca 0.4163 0.2682 0.5291
Mg1 Mg 0.4169 0.4551 0.1528
Mg2 Mg 0.4167 0.6342 0.7950
Mg3 Mg 0.9161 0.3657 0.3323
Mg4 Mg 0.9162 0.5439 0.9754
Mg5 Mg 0.9158 0.7264 0.6119
Si1 Si 0.1161 0.9994 0.6356
Si2 Si 0.1181 0.6595 0.3188
Si3 Si 0.2085 0.3498 0.8088
Si4 Si 0.2098 0.1812 0.1453
Si5 Si 0.6233 0.7381 0.1451
Si6 Si 0.6244 0.9059 0.8086
Si7 Si 0.7146 0.0859 0.3176
Si8 Si 0.7166 0.4285 0.6364
O1 O 0.0033 0.3249 0.7187
O2 O 0.1193 0.6561 0.4729
O3 O 0.1202 0.1570 0.4838
O4 O 0.1322 0.3484 0.1462
O5 O 0.1338 0.5164 0.8087
O6 O 0.1880 0.8298 0.6427
O7 O 0.1933 0.4916 0.3161
O8 O 0.2109 0.2030 0.9766
O9 O 0.3305 0.7697 0.2088
O10 O 0.3348 0.0068 0.7395
O11 O 0.4950 0.3200 0.7367
O12 O 0.4982 0.0851 0.2121
O13 O 0.6211 0.8845 0.9766
O14 O 0.6401 0.2566 0.3161
O15 O 0.6453 0.5919 0.6425
O16 O 0.6988 0.7397 0.8082
O17 O 0.6997 0.5700 0.1468
O18 O 0.7132 0.4243 0.4834
O19 O 0.7146 0.9359 0.4730
O20 O 0.8306 0.0201 0.7197
O21 O 0.8377 0.7628 0.2290
O22 O 0.9968 0.0718 0.2298
F1 F 0.2049 0.6460 0.9773
F2 F 0.6257 0.4434 0.9770
```


Record 3
This entry pairs a crystal structure of Nb2Pb3O8 with its theoretical XRD peak list. Radiation: CuKα. Structure: a DFT-relaxed cell (GGA-PBE, the Materials Project).
Peak positions follow from Bragg's law for the DFT cell and can differ from measured ones.

Largest 8 diffraction maxima, most intense first, 2θ from 5° to 70°:
h k l	d (Å)	2θ/deg	I/Imax
2 0 2	3.128	28.54	100.0
0 0 4	2.709	33.07	39.6
2 0 6	1.632	56.37	25.9
2 2 -4	1.917	47.42	21.1
0 4 0	1.913	47.52	21.1
2 0 -6	1.635	56.26	18.7
0 4 4	1.563	59.12	9.2
1 0 0	7.661	11.55	8.6

Cell and atoms:
```
data_Nb2Pb3O8
_symmetry_space_group_name_H-M 'P 1 2/m 1'
_symmetry_Int_Tables_number 10
_symmetry_space_group_name_Hall '-P 2y'
_cell_length_a 7.6625
_cell_length_b 7.6524
_cell_length_c 10.8444
_cell_angle_alpha 90.00
_cell_angle_beta 90.20
_cell_angle_gamma 90.00
loop_
_atom_site_label
_atom_site_type_symbol
_atom_site_fract_x
_atom_site_fract_y
_atom_site_fract_z
Nb1 Nb 0.0000 0.0000 0.0000
Nb2 Nb 0.0000 0.5000 0.5000
Nb3 Nb 0.2451 0.2497 0.2482
Pb1 Pb 0.0000 0.0000 0.5000
Pb2 Pb 0.2654 0.2585 0.7530
Pb3 Pb 0.5000 0.0000 0.0000
Pb4 Pb 0.5000 0.0000 0.5000
Pb5 Pb 0.5000 0.5000 0.0000
Pb6 Pb 0.5000 0.5000 0.5000
O1 O 0.0737 0.1815 0.1249
O2 O 0.0736 0.3110 0.3807
O3 O 0.2352 0.5000 0.5810
O4 O 0.2366 0.0000 0.9210
O5 O 0.2435 0.0000 0.3167
O6 O 0.2539 0.5000 0.2021
O7 O 0.4477 0.2090 0.1304
O8 O 0.4573 0.2849 0.3694
```